Diffraction record for Ag6HgP20I2. The X-ray powder pattern is computed, not measured: it uses a cell relaxed with PBE and Cu Kα, 1.54184 Å.
Neutral-atom scattering factors, no anomalous dispersion.

Atomic structure:
```
Ag6HgP20I2
1.0
6.795 0.000 0.000
0.000 28.088 0.000
-3.041 0.000 6.806
Ag Hg P I
12 2 40 4
Direct
0.097 0.000 0.019 Ag
0.097 0.809 0.021 Ag
0.145 0.663 0.023 Ag
0.153 0.404 0.578 Ag
0.158 0.084 0.571 Ag
0.160 0.725 0.567 Ag
0.840 0.225 0.433 Ag
0.842 0.584 0.429 Ag
0.847 0.904 0.422 Ag
0.855 0.163 0.977 Ag
0.903 0.309 0.979 Ag
0.903 0.500 0.981 Ag
0.476 0.904 0.832 Hg
0.524 0.404 0.168 Hg
0.045 0.537 0.745 P
0.050 0.271 0.748 P
0.108 0.201 0.291 P
0.110 0.610 0.286 P
0.239 0.538 0.284 P
0.242 0.271 0.285 P
0.278 0.486 0.719 P
0.280 0.323 0.720 P
0.288 0.217 0.912 P
0.292 0.590 0.907 P
0.350 0.160 0.526 P
0.352 0.647 0.534 P
0.446 0.824 0.981 P
0.447 0.985 0.981 P
0.476 0.526 0.595 P
0.477 0.094 0.234 P
0.481 0.283 0.596 P
0.488 0.714 0.239 P
0.499 0.048 0.831 P
0.499 0.760 0.833 P
0.501 0.260 0.167 P
0.501 0.548 0.169 P
0.512 0.214 0.761 P
0.519 0.783 0.404 P
0.523 0.594 0.766 P
0.524 0.026 0.405 P
0.553 0.485 0.019 P
0.554 0.324 0.019 P
0.648 0.147 0.466 P
0.650 0.660 0.474 P
0.708 0.090 0.093 P
0.712 0.717 0.088 P
0.720 0.823 0.280 P
0.722 0.986 0.281 P
0.758 0.771 0.715 P
0.761 0.038 0.716 P
0.890 0.110 0.714 P
0.892 0.701 0.709 P
0.950 0.771 0.252 P
0.955 0.037 0.255 P
0.073 0.404 0.164 I
0.269 0.904 0.409 I
0.731 0.404 0.591 I
0.927 0.904 0.836 I
```

Peak list (10 most intense, 15 to 90 degrees two-theta, low angle first)
2θ 18.96, intensity 29, hkl 0 6 0
2θ 23.06, intensity 42, hkl 0 6 1
2θ 24.18, intensity 44, hkl 1 0 -2
2θ 26.25, intensity 26, hkl 2 0 -1
2θ 26.37, intensity 30, hkl 0 1 2
2θ 27.93, intensity 100, hkl 0 3 2
2θ 30.35, intensity 28, hkl 2 3 0
2θ 31.86, intensity 27, hkl 0 10 0
2θ 34.56, intensity 27, hkl 0 7 2
2θ 39.19, intensity 37, hkl 2 9 -1